Simulated X-ray diffraction stick pattern
Compound: V6TcIr5
Radiation: Cu Kα (λ = 1.5418 Å)
Structure: a PBE-relaxed structure
Peak positions follow from Bragg's law for the DFT cell and can differ from measured ones.

Top 12 peaks for 10 to 90 degrees two-theta, most intense first:
42.0°, d = 2.149 Å, rel. 100.0
43.8°, d = 2.068 Å, rel. 95.8
41.2°, d = 2.189 Å, rel. 58.2
29.8°, d = 3.001 Å, rel. 46.7
27.3°, d = 3.264 Å, rel. 42.3
40.5°, d = 2.229 Å, rel. 42.1
31.3°, d = 2.855 Å, rel. 40.3
52.7°, d = 1.737 Å, rel. 21.5
80.3°, d = 1.196 Å, rel. 16.3
78.1°, d = 1.223 Å, rel. 16.3
65.4°, d = 1.427 Å, rel. 15.5
74.5°, d = 1.273 Å, rel. 15.4

Crystal structure
```
data_V6TcIr5
_space_group_name_H-M_alt 'P 1'
_space_group_IT_number 1
_cell_length_a 4.4744
_cell_length_b 5.7097
_cell_length_c 6.7809
_cell_angle_alpha 90.00
_cell_angle_beta 104.38
_cell_angle_gamma 90.00
loop_
_space_group_symop_operation_xyz
'x,y,z'
loop_
_atom_site_label
_atom_site_type_symbol
_atom_site_fract_x
_atom_site_fract_y
_atom_site_fract_z
V1 V 0.0000 0.2475 0.0000
V2 V 0.0000 0.7525 0.0000
V3 V 0.3870 0.2494 0.6454
V4 V 0.3870 0.7506 0.6454
V5 V 0.6130 0.2494 0.3546
V6 V 0.6130 0.7506 0.3546
Tc1 Tc 0.5000 0.0000 0.0000
Ir1 Ir 0.0964 0.5000 0.3172
Ir2 Ir 0.1026 0.0000 0.3204
Ir3 Ir 0.5000 0.5000 0.0000
Ir4 Ir 0.8974 0.0000 0.6796
Ir5 Ir 0.9036 0.5000 0.6828
```

Simulated X-ray diffraction stick pattern
Compound: VTcIr
Radiation: Cu Kα (λ = 1.5418 Å)
Structure: a PBE-relaxed structure
Peak positions follow from Bragg's law for the DFT cell and can differ from measured ones.

Top 12 peaks for 10 to 90 degrees two-theta, most intense first:
40.5°, d = 2.227 Å, rel. 100.0
15.1°, d = 5.880 Å, rel. 39.9
34.0°, d = 2.637 Å, rel. 21.2
46.3°, d = 1.960 Å, rel. 18.3
47.0°, d = 1.933 Å, rel. 17.6
81.9°, d = 1.176 Å, rel. 17.0
82.9°, d = 1.165 Å, rel. 12.3
48.0°, d = 1.894 Å, rel. 12.0
68.1°, d = 1.376 Å, rel. 11.3
87.6°, d = 1.113 Å, rel. 8.6
51.5°, d = 1.775 Å, rel. 8.2
68.9°, d = 1.362 Å, rel. 7.9

Crystal structure
```
data_VTcIr
_space_group_name_H-M_alt 'P 1'
_space_group_IT_number 1
_cell_length_a 3.8655
_cell_length_b 3.7881
_cell_length_c 11.7593
_cell_angle_alpha 90.00
_cell_angle_beta 90.00
_cell_angle_gamma 90.00
loop_
_space_group_symop_operation_xyz
'x,y,z'
loop_
_atom_site_label
_atom_site_type_symbol
_atom_site_fract_x
_atom_site_fract_y
_atom_site_fract_z
V1 V 0.0000 0.1971 0.0000
V2 V 0.0000 0.8029 0.5000
V3 V 0.5000 0.3029 0.5000
V4 V 0.5000 0.6971 0.0000
Tc1 Tc 0.0000 0.1977 0.6727
Tc2 Tc 0.0000 0.8023 0.1727
Tc3 Tc 0.5000 0.3023 0.1727
Tc4 Tc 0.5000 0.6977 0.6727
Ir1 Ir 0.0000 0.2859 0.3381
Ir2 Ir 0.0000 0.7141 0.8381
Ir3 Ir 0.5000 0.2141 0.8381
Ir4 Ir 0.5000 0.7859 0.3381
```

Simulated X-ray diffraction stick pattern
Compound: VTcIr
Radiation: Cu Kα (λ = 1.5418 Å)
Structure: a PBE-relaxed structure
Peak positions follow from Bragg's law for the DFT cell and can differ from measured ones.

Top 12 peaks for 10 to 90 degrees two-theta, most intense first:
43.4°, d = 2.084 Å, rel. 100.0
37.9°, d = 2.372 Å, rel. 34.9
41.4°, d = 2.180 Å, rel. 24.0
20.4°, d = 4.360 Å, rel. 23.7
57.4°, d = 1.605 Å, rel. 21.0
83.3°, d = 1.160 Å, rel. 18.6
76.9°, d = 1.239 Å, rel. 18.0
68.5°, d = 1.370 Å, rel. 15.9
84.7°, d = 1.145 Å, rel. 14.4
22.7°, d = 3.921 Å, rel. 6.9
25.6°, d = 3.478 Å, rel. 6.5
72.3°, d = 1.307 Å, rel. 5.2

Crystal structure
```
data_VTcIr
_space_group_name_H-M_alt 'P 1'
_space_group_IT_number 1
_cell_length_a 8.2225
_cell_length_b 4.7418
_cell_length_c 5.1485
_cell_angle_alpha 90.00
_cell_angle_beta 122.14
_cell_angle_gamma 90.00
loop_
_space_group_symop_operation_xyz
'x,y,z'
loop_
_atom_site_label
_atom_site_type_symbol
_atom_site_fract_x
_atom_site_fract_y
_atom_site_fract_z
V1 V 0.1689 0.0000 0.0052
V2 V 0.3311 0.5000 0.9948
V3 V 0.6689 0.5000 0.0052
V4 V 0.8311 0.0000 0.9948
Tc1 Tc 0.0000 0.3363 0.5000
Tc2 Tc 0.0000 0.5045 0.0000
Tc3 Tc 0.5000 0.0045 0.0000
Tc4 Tc 0.5000 0.8363 0.5000
Ir1 Ir 0.1685 0.8362 0.5076
Ir2 Ir 0.3315 0.3362 0.4924
Ir3 Ir 0.6685 0.3362 0.5076
Ir4 Ir 0.8315 0.8362 0.4924
```

Simulated X-ray diffraction stick pattern
Compound: VTcIr
Radiation: Cu Kα (λ = 1.5418 Å)
Structure: a PBE-relaxed structure
Peak positions follow from Bragg's law for the DFT cell and can differ from measured ones.

Top 12 peaks for 10 to 90 degrees two-theta, most intense first:
43.3°, d = 2.089 Å, rel. 100.0
43.5°, d = 2.082 Å, rel. 51.8
37.8°, d = 2.378 Å, rel. 39.8
41.5°, d = 2.174 Å, rel. 37.3
22.6°, d = 3.926 Å, rel. 31.7
68.3°, d = 1.373 Å, rel. 25.5
25.7°, d = 3.473 Å, rel. 17.0
84.4°, d = 1.148 Å, rel. 14.8
83.0°, d = 1.163 Å, rel. 14.5
40.9°, d = 2.207 Å, rel. 11.0
83.3°, d = 1.160 Å, rel. 9.7
77.3°, d = 1.235 Å, rel. 8.9

Crystal structure
```
data_VTcIr
_space_group_name_H-M_alt 'P 1'
_space_group_IT_number 1
_cell_length_a 8.2357
_cell_length_b 4.7587
_cell_length_c 5.1546
_cell_angle_alpha 90.00
_cell_angle_beta 122.50
_cell_angle_gamma 90.00
loop_
_space_group_symop_operation_xyz
'x,y,z'
loop_
_atom_site_label
_atom_site_type_symbol
_atom_site_fract_x
_atom_site_fract_y
_atom_site_fract_z
V1 V 0.1616 0.0000 0.4867
V2 V 0.3384 0.5000 0.5133
V3 V 0.6616 0.5000 0.4867
V4 V 0.8384 0.0000 0.5133
Tc1 Tc 0.1621 0.1685 0.9801
Tc2 Tc 0.3379 0.6685 0.0199
Tc3 Tc 0.6621 0.6685 0.9801
Tc4 Tc 0.8379 0.1685 0.0199
Ir1 Ir 0.0000 0.5115 0.5000
Ir2 Ir 0.0000 0.6648 0.0000
Ir3 Ir 0.5000 0.0115 0.5000
Ir4 Ir 0.5000 0.1648 0.0000
```

Simulated X-ray diffraction stick pattern
Compound: V4TcIr5
Radiation: Cu Kα (λ = 1.5418 Å)
Structure: a PBE-relaxed structure
Peak positions follow from Bragg's law for the DFT cell and can differ from measured ones.

Top 12 peaks for 10 to 90 degrees two-theta, most intense first:
40.8°, d = 2.210 Å, rel. 100.0
46.9°, d = 1.936 Å, rel. 33.6
23.7°, d = 3.747 Å, rel. 26.4
83.0°, d = 1.164 Å, rel. 25.5
32.7°, d = 2.737 Å, rel. 24.3
69.9°, d = 1.346 Å, rel. 19.8
48.6°, d = 1.874 Å, rel. 14.8
53.3°, d = 1.720 Å, rel. 13.1
85.4°, d = 1.136 Å, rel. 11.3
88.5°, d = 1.105 Å, rel. 10.9
68.6°, d = 1.369 Å, rel. 10.7
59.8°, d = 1.546 Å, rel. 9.2

Crystal structure
```
data_V4TcIr5
_space_group_name_H-M_alt 'P 1'
_space_group_IT_number 1
_cell_length_a 2.7373
_cell_length_b 2.7373
_cell_length_c 18.7373
_cell_angle_alpha 90.00
_cell_angle_beta 90.00
_cell_angle_gamma 90.00
loop_
_space_group_symop_operation_xyz
'x,y,z'
loop_
_atom_site_label
_atom_site_type_symbol
_atom_site_fract_x
_atom_site_fract_y
_atom_site_fract_z
V1 V 0.0000 0.0000 0.0989
V2 V 0.0000 0.0000 0.2960
V3 V 0.0000 0.0000 0.7040
V4 V 0.0000 0.0000 0.9011
Tc1 Tc 0.0000 0.0000 0.5000
Ir1 Ir 0.5000 0.5000 0.0000
Ir2 Ir 0.5000 0.5000 0.1973
Ir3 Ir 0.5000 0.5000 0.3969
Ir4 Ir 0.5000 0.5000 0.6031
Ir5 Ir 0.5000 0.5000 0.8027
```

Simulated X-ray diffraction stick pattern
Compound: TcIr3W
Radiation: Cu Kα (λ = 1.5418 Å)
Structure: a PBE-relaxed structure
Peak positions follow from Bragg's law for the DFT cell and can differ from measured ones.

Top 12 peaks for 10 to 90 degrees two-theta, most intense first:
40.0°, d = 2.252 Å, rel. 100.0
40.1°, d = 2.246 Å, rel. 99.9
46.6°, d = 1.949 Å, rel. 65.1
82.1°, d = 1.174 Å, rel. 38.4
46.7°, d = 1.945 Å, rel. 32.6
68.1°, d = 1.377 Å, rel. 31.7
81.9°, d = 1.177 Å, rel. 25.2
68.2°, d = 1.376 Å, rel. 21.3
82.2°, d = 1.173 Å, rel. 12.8
86.4°, d = 1.126 Å, rel. 11.2
67.9°, d = 1.381 Å, rel. 10.5
86.8°, d = 1.122 Å, rel. 5.7

Crystal structure
```
data_TcIr3W
_space_group_name_H-M_alt 'P 1'
_space_group_IT_number 1
_cell_length_a 4.7618
_cell_length_b 4.7681
_cell_length_c 7.3035
_cell_angle_alpha 83.76
_cell_angle_beta 71.02
_cell_angle_gamma 70.52
loop_
_space_group_symop_operation_xyz
'x,y,z'
loop_
_atom_site_label
_atom_site_type_symbol
_atom_site_fract_x
_atom_site_fract_y
_atom_site_fract_z
Tc1 Tc 0.1469 0.2502 0.2056
Tc2 Tc 0.8531 0.7498 0.7944
Ir1 Ir 0.0534 0.7490 0.3932
Ir2 Ir 0.2492 0.7499 0.0015
Ir3 Ir 0.4461 0.7506 0.6076
Ir4 Ir 0.5539 0.2494 0.3924
Ir5 Ir 0.7508 0.2501 0.9985
Ir6 Ir 0.9466 0.2510 0.6068
W1 W 0.3502 0.2495 0.7994
W2 W 0.6498 0.7505 0.2006
```

Simulated X-ray diffraction stick pattern
Compound: ZrTcIr2
Radiation: Cu Kα (λ = 1.5418 Å)
Structure: a PBE-relaxed structure
Peak positions follow from Bragg's law for the DFT cell and can differ from measured ones.

Top 12 peaks for 10 to 90 degrees two-theta, most intense first:
38.9°, d = 2.313 Å, rel. 100.0
39.2°, d = 2.299 Å, rel. 98.2
44.9°, d = 2.018 Å, rel. 66.8
66.6°, d = 1.405 Å, rel. 41.2
46.4°, d = 1.957 Å, rel. 30.4
78.6°, d = 1.217 Å, rel. 25.8
79.1°, d = 1.210 Å, rel. 25.4
22.7°, d = 3.914 Å, rel. 19.6
81.0°, d = 1.188 Å, rel. 12.0
81.1°, d = 1.186 Å, rel. 11.9
83.6°, d = 1.157 Å, rel. 11.1
65.0°, d = 1.434 Å, rel. 11.0

Crystal structure
```
data_ZrTcIr2
_space_group_name_H-M_alt 'P 1'
_space_group_IT_number 1
_cell_length_a 5.6816
_cell_length_b 7.8278
_cell_length_c 2.8682
_cell_angle_alpha 90.00
_cell_angle_beta 90.00
_cell_angle_gamma 90.00
loop_
_space_group_symop_operation_xyz
'x,y,z'
loop_
_atom_site_label
_atom_site_type_symbol
_atom_site_fract_x
_atom_site_fract_y
_atom_site_fract_z
Zr1 Zr 0.0000 0.0000 0.0000
Zr2 Zr 0.5000 0.5000 0.0000
Tc1 Tc 0.0000 0.5000 0.0000
Tc2 Tc 0.5000 0.0000 0.0000
Ir1 Ir 0.2500 0.2500 0.5000
Ir2 Ir 0.2500 0.7500 0.5000
Ir3 Ir 0.7500 0.2500 0.5000
Ir4 Ir 0.7500 0.7500 0.5000
```

Simulated X-ray diffraction stick pattern
Compound: Te7Ir6
Radiation: Cu Kα (λ = 1.5418 Å)
Structure: a PBE-relaxed structure
Peak positions follow from Bragg's law for the DFT cell and can differ from measured ones.

Top 12 peaks for 10 to 90 degrees two-theta, most intense first:
24.7°, d = 3.602 Å, rel. 100.0
35.1°, d = 2.557 Å, rel. 64.3
50.7°, d = 1.801 Å, rel. 53.4
28.9°, d = 3.088 Å, rel. 48.5
41.0°, d = 2.203 Å, rel. 38.8
44.1°, d = 2.052 Å, rel. 27.2
50.6°, d = 1.805 Å, rel. 24.1
43.5°, d = 2.080 Å, rel. 21.8
35.4°, d = 2.537 Å, rel. 17.8
74.2°, d = 1.279 Å, rel. 15.5
74.4°, d = 1.275 Å, rel. 14.0
84.4°, d = 1.147 Å, rel. 12.5

Crystal structure
```
data_Te7Ir6
_space_group_name_H-M_alt 'P 1'
_space_group_IT_number 1
_cell_length_a 8.3697
_cell_length_b 8.3697
_cell_length_c 8.3697
_cell_angle_alpha 50.99
_cell_angle_beta 50.99
_cell_angle_gamma 50.99
loop_
_space_group_symop_operation_xyz
'x,y,z'
loop_
_atom_site_label
_atom_site_type_symbol
_atom_site_fract_x
_atom_site_fract_y
_atom_site_fract_z
Te1 Te 0.0000 0.0000 0.0000
Te2 Te 0.0887 0.0887 0.5552
Te3 Te 0.0887 0.5552 0.0887
Te4 Te 0.4448 0.9113 0.9113
Te5 Te 0.5552 0.0887 0.0887
Te6 Te 0.9113 0.4448 0.9113
Te7 Te 0.9113 0.9113 0.4448
Ir1 Ir 0.1631 0.1631 0.1631
Ir2 Ir 0.3296 0.3296 0.3296
Ir3 Ir 0.4436 0.4436 0.4436
Ir4 Ir 0.5564 0.5564 0.5564
Ir5 Ir 0.6704 0.6704 0.6704
Ir6 Ir 0.8369 0.8369 0.8369
```

Which formula does entry 5 have?
V4TcIr5

Which formula does entry 4 have?
VTcIr

Please write out number 4 again, unchanged.
Simulated X-ray diffraction stick pattern
Compound: VTcIr
Radiation: Cu Kα (λ = 1.5418 Å)
Structure: a PBE-relaxed structure
Peak positions follow from Bragg's law for the DFT cell and can differ from measured ones.

Top 12 peaks for 10 to 90 degrees two-theta, most intense first:
43.3°, d = 2.089 Å, rel. 100.0
43.5°, d = 2.082 Å, rel. 51.8
37.8°, d = 2.378 Å, rel. 39.8
41.5°, d = 2.174 Å, rel. 37.3
22.6°, d = 3.926 Å, rel. 31.7
68.3°, d = 1.373 Å, rel. 25.5
25.7°, d = 3.473 Å, rel. 17.0
84.4°, d = 1.148 Å, rel. 14.8
83.0°, d = 1.163 Å, rel. 14.5
40.9°, d = 2.207 Å, rel. 11.0
83.3°, d = 1.160 Å, rel. 9.7
77.3°, d = 1.235 Å, rel. 8.9

Crystal structure
```
data_VTcIr
_space_group_name_H-M_alt 'P 1'
_space_group_IT_number 1
_cell_length_a 8.2357
_cell_length_b 4.7587
_cell_length_c 5.1546
_cell_angle_alpha 90.00
_cell_angle_beta 122.50
_cell_angle_gamma 90.00
loop_
_space_group_symop_operation_xyz
'x,y,z'
loop_
_atom_site_label
_atom_site_type_symbol
_atom_site_fract_x
_atom_site_fract_y
_atom_site_fract_z
V1 V 0.1616 0.0000 0.4867
V2 V 0.3384 0.5000 0.5133
V3 V 0.6616 0.5000 0.4867
V4 V 0.8384 0.0000 0.5133
Tc1 Tc 0.1621 0.1685 0.9801
Tc2 Tc 0.3379 0.6685 0.0199
Tc3 Tc 0.6621 0.6685 0.9801
Tc4 Tc 0.8379 0.1685 0.0199
Ir1 Ir 0.0000 0.5115 0.5000
Ir2 Ir 0.0000 0.6648 0.0000
Ir3 Ir 0.5000 0.0115 0.5000
Ir4 Ir 0.5000 0.1648 0.0000
```